# 1
NdGdGe2Ir: computed XRD peak list (Cu Kα X-rays), based on a DFT-relaxed cell (GGA-PBE, OQMD).
Neutral-atom scattering factors, no anomalous dispersion.

Cell and atoms:
Lattice parameters (Å, degrees): 10.7525 4.3637 10.5297 90.00 117.05 90.00
Space group C2/m (No. 12)
Unique sites:
Nd: 0.1906 0.0000 0.1184 [4 per cell]
Gd: 0.0081 0.0000 0.3309 [4 per cell]
Ge: 0.0175 0.5000 0.8824 [4 per cell]
Ge: 0.1487 0.5000 0.5525 [4 per cell]
Ir: 0.2287 0.5000 0.3382 [4 per cell]

Main lines, in order of rising 2θ (5 to 70 degrees two-theta):
d [Å]  Rel. int.
9.378  33
3.359  23
2.782  81
2.718  100
2.683  29
2.486  41
2.394  20
2.345  25
2.280  74
2.268  23
2.182  58
1.449  26

---

# 2
RbNb3Bi5: computed XRD peak list (Cu Kα X-rays), based on a DFT-relaxed cell (GGA-PBE, OQMD).
Neutral-atom scattering factors, no anomalous dispersion.

Cell and atoms:
Lattice parameters (Å, degrees): 5.8837 5.8837 9.0979 90.00 90.00 120.00
Space group P6/mmm (No. 191)
Unique sites:
Rb: 0.0000 0.0000 0.0000 [1 per cell]
Nb: 0.0000 0.5000 0.5000 [3 per cell]
Bi: 0.0000 0.0000 0.5000 [1 per cell]
Bi: 0.3333 0.6667 0.2255 [4 per cell]

Main lines, in order of rising 2θ (5 to 70 degrees two-theta):
d [Å]  Rel. int.
9.098  36
3.393  96
3.033  21
2.942  100
2.470  42
2.453  26
2.274  25
2.223  84
1.799  36
1.774  32
1.698  23
1.471  25